Starting from the GGA+U geometry in Alexandria, the powder XRD pattern of Mn4O7F was calculated for a wavelength of 1.5418 Å.
Peak positions follow from Bragg's law for the DFT cell and can differ from measured ones.

Largest 12 diffraction maxima, low angle first, 15 to 90 degrees two-theta:
h k l  d (Å)  I/Imax
0 1 2  3.471  57
1 1 1  2.845  100
2 0 -2  2.483  12
1 2 -1  2.403  22
1 2 -3  2.117  17
2 1 -4  2.016  9
0 3 2  1.695  14
2 0 2  1.666  12
2 0 -6  1.660  12
1 2 3  1.640  19
1 2 -5  1.637  19
3 2 -3  1.418  16

Structural model:
abc: 4.9661 5.4926 10.2243
angles: 90.00 118.82 90.00
Positions (direct):
Mn  0.0000  0.1308  0.0000
Mn  0.0000  0.8692  0.5000
Mn  0.2642  0.3545  0.7375
Mn  0.2642  0.6455  0.2375
Mn  0.4931  0.1524  0.4876
Mn  0.4931  0.8476  0.9876
Mn  0.7422  0.3328  0.2370
Mn  0.7422  0.6672  0.7370
O  0.0544  0.1120  0.3771
O  0.0544  0.8880  0.8771
O  0.4369  0.0954  0.1073
O  0.4369  0.9046  0.6073
O  0.4669  0.3951  0.6225
O  0.4669  0.6049  0.1225
O  0.5441  0.3914  0.3578
O  0.5441  0.6086  0.8578
O  0.5583  0.1101  0.8765
O  0.5583  0.8899  0.3765
O  0.9426  0.1177  0.6104
O  0.9426  0.8823  0.1104
O  0.9679  0.3816  0.1284
O  0.9679  0.6184  0.6284
F  0.0483  0.3747  0.8645
F  0.0483  0.6253  0.3645